The following is a simulated powder diffraction line list of Sr2CoWO6. It was derived from a crystal structure in the Materials Project, relaxed with GGA+U, using λ = 1.5418 Å (Cu Kα).
Neutral-atom scattering factors, no anomalous dispersion.

Principal peaks in the range 15° ≤ 2θ ≤ 90°, in order of rising 2θ:
2θ 19.07, I 14, (1 0 0); 2θ 19.17, I 14, (0 1 1); 2θ 31.26, I 20, (2 0 -2); 2θ 31.52, I 100, (1 1 1); 2θ 44.97, I 25, (2 2 -2); 2θ 45.40, I 12, (0 0 4); 2θ 55.80, I 17, (3 1 -5); 2θ 56.12, I 24, (2 0 2); 2θ 56.31, I 8, (0 2 4); 2θ 65.81, I 18, (0 4 0)

Structure:
```
Sr2CoWO6
1.0
5.723 0.000 0.000
0.000 5.680 0.000
-5.712 0.000 7.991
Sr Co W O
4 2 2 12
Direct
0.249 0.013 0.251
0.249 0.487 0.751
0.751 0.513 0.249
0.751 0.987 0.749
0.500 0.000 0.000
0.500 0.500 0.500
0.000 0.000 0.500
0.000 0.500 0.000
0.191 0.239 0.971
0.191 0.261 0.471
0.232 0.721 0.973
0.232 0.779 0.473
0.295 0.008 0.742
0.295 0.492 0.242
0.705 0.508 0.758
0.705 0.992 0.258
0.768 0.221 0.527
0.768 0.279 0.027
0.809 0.739 0.529
0.809 0.761 0.029
```